Calculated powder diffractogram
Compound: EuIn2S4
Radiation: a wavelength of 1.5418 Å
Structure: DFT lattice parameters and positions (GGA-PBE)
Intensities are scaled so that the largest is 100.

Cell and atoms:
a b c (Å): 6.1916 6.1916 10.4977
angles (deg): 90.00 90.00 115.30
Element x y z (fractional)
Eu 0.0000 0.0000 0.2500
Eu 0.0000 0.0000 0.7500
In 0.2705 0.7263 0.0000
In 0.2737 0.7295 0.5000
In 0.7263 0.2705 0.5000
In 0.7295 0.2737 0.0000
S 0.0000 0.5000 0.1801
S 0.0000 0.5000 0.8199
S 0.1489 0.2920 0.5000
S 0.2920 0.1489 0.0000
S 0.5000 0.0000 0.3199
S 0.5000 0.0000 0.6801
S 0.7080 0.8511 0.0000
S 0.8511 0.7080 0.5000

Peak list (12 most intense, 2θ from 10° to 90°, in order of rising 2θ)
2θ (°)  intensity
15.83  32
16.92  18
23.23  45
24.02  58
28.93  27
34.16  28
34.29  23
36.38  100
44.06  29
45.37  28
48.83  25
55.41  19